Record 1
Computed powder diffractogram
Compound: Li3Mn5Cr3O16
Radiation: Cu Kα
Structure: a structure optimized by DFT (PBE+U)
Intensities are scaled so that the largest is 100.

Cell and atoms:
```
data_Li3Mn5Cr3O16
_space_group_name_H-M_alt 'C 1 m 1'
_space_group_IT_number 8
_cell_length_a 10.2840
_cell_length_b 5.8528
_cell_length_c 10.1991
_cell_angle_alpha 90.00
_cell_angle_beta 109.02
_cell_angle_gamma 90.00
loop_
_space_group_symop_operation_xyz
'x,y,z'
'x,-y,z'
'x+1/2,y+1/2,z'
'x+1/2,-y+1/2,z'
loop_
_atom_site_label
_atom_site_fract_x
_atom_site_fract_y
_atom_site_fract_z
Li1 0.0000 0.0000 0.0000
Li2 0.0032 0.5000 0.5079
Li3 0.3671 0.0000 0.1334
Mn1 0.1844 0.2499 0.8163
Mn2 0.1854 0.0000 0.5705
Mn3 0.1848 0.2514 0.3196
Cr1 0.1840 0.5000 0.0675
Cr2 0.4338 0.0000 0.8151
Cr3 0.4338 0.5000 0.3208
O1 0.0685 0.2720 0.9322
O2 0.0703 0.0000 0.2146
O3 0.0710 0.2247 0.4394
O4 0.0716 0.5000 0.7123
O5 0.0784 0.5000 0.2057
O6 0.0834 0.0000 0.7004
O7 0.2891 0.0000 0.4367
O8 0.2896 0.5000 0.9307
O9 0.2950 0.5000 0.4207
O10 0.2960 0.2212 0.6970
O11 0.2982 0.0000 0.9225
O12 0.2999 0.2706 0.2039
```

The 12 most intense peaks (2θ = 10–80°), in order of falling intensity:
2theta	intensity	h k l
43.40	100	2 2 2
18.52	85	1 1 -1
18.25	55	2 0 0
18.40	49	0 0 2
35.79	33	2 2 0
35.48	19	4 0 -2
62.83	19	6 2 -2
63.27	19	2 2 -6
35.90	13	0 2 2
35.62	13	1 1 3
57.50	13	4 0 -6
62.48	10	4 0 4

Record 2
Computed powder diffractogram
Compound: Li10Mn3Cr5O16
Radiation: Cu Kα
Structure: a structure optimized by DFT (PBE+U)
Intensities are scaled so that the largest is 100.

Cell and atoms:
```
data_Li10Mn3Cr5O16
_space_group_name_H-M_alt 'P 1'
_space_group_IT_number 1
_cell_length_a 6.0074
_cell_length_b 6.0529
_cell_length_c 9.8753
_cell_angle_alpha 88.45
_cell_angle_beta 89.58
_cell_angle_gamma 60.32
loop_
_space_group_symop_operation_xyz
'x,y,z'
loop_
_atom_site_label
_atom_site_fract_x
_atom_site_fract_y
_atom_site_fract_z
Li1 0.0000 0.0000 0.0000
Li2 0.0038 0.9834 0.5029
Li3 0.1940 0.6099 0.4343
Li4 0.2054 0.1865 0.4360
Li5 0.3384 0.3349 0.2168
Li6 0.4002 0.8166 0.9402
Li7 0.6088 0.2000 0.4339
Li8 0.6569 0.6797 0.7169
Li9 0.7931 0.4118 0.9408
Li10 0.8109 0.8086 0.9331
Mn1 0.1615 0.1672 0.7055
Mn2 0.6604 0.1680 0.7019
Mn3 0.8412 0.3258 0.2046
Cr1 0.1694 0.6560 0.7042
Cr2 0.3407 0.3278 0.9617
Cr3 0.3435 0.8234 0.2031
Cr4 0.6683 0.6517 0.4610
Cr5 0.8364 0.8232 0.2041
O1 0.0165 0.9686 0.3141
O2 0.0219 0.4968 0.8350
O3 0.1686 0.6660 0.0873
O4 0.1848 0.1454 0.0734
O5 0.3374 0.8179 0.5794
O6 0.3471 0.3354 0.5891
O7 0.4773 0.5108 0.8343
O8 0.4998 0.0305 0.8313
O9 0.5016 0.5164 0.3306
O10 0.5170 0.9687 0.3260
O11 0.6642 0.6799 0.0868
O12 0.6708 0.1538 0.0787
O13 0.8222 0.3152 0.5730
O14 0.8451 0.8045 0.5805
O15 0.9815 0.9851 0.8092
O16 0.9831 0.5115 0.3336
```

The 12 most intense peaks (2θ = 10–80°), in order of falling intensity:
2theta	intensity	h k l
17.97	100	0 0 2
19.13	73	1 1 1
61.24	70	2 -2 0
44.75	68	2 2 -3
19.32	59	1 0 1
34.40	57	-1 1 2
35.08	56	0 2 1
18.91	41	0 1 1
35.62	41	2 0 1
35.49	40	2 0 -1
44.14	40	2 0 -3
43.89	38	2 2 3

Record 3
Computed powder diffractogram
Compound: Li5MnCr3O8
Radiation: Cu Kα
Structure: a structure optimized by DFT (PBE+U)
Intensities are scaled so that the largest is 100.

Cell and atoms:
```
data_Li5MnCr3O8
_space_group_name_H-M_alt 'R -3 m'
_space_group_IT_number 166
_space_group_name_Hall '-R 3 2"'
_cell_length_a 5.9893
_cell_length_b 5.9893
_cell_length_c 14.8485
_cell_angle_alpha 90.00
_cell_angle_beta 90.00
_cell_angle_gamma 120.00
loop_
_atom_site_label
_atom_site_fract_x
_atom_site_fract_y
_atom_site_fract_z
Li1 0.0000 0.0000 0.0672
Li2 0.0000 0.5000 0.5000
Mn1 0.0000 0.0000 0.5000
Cr1 0.0000 0.5000 0.0000
O1 0.0000 0.0000 0.2574
O2 0.0176 0.5088 0.2551
```

The 12 most intense peaks (2θ = 10–80°), in order of falling intensity:
2theta	intensity	h k l
42.52	100	0 2 4
18.12	83	1 0 1
17.92	31	0 0 3
61.98	29	2 2 0
35.02	28	1 1 3
61.43	26	2 0 8
34.81	16	0 1 5
36.71	15	2 0 2
35.13	13	0 2 1
78.06	12	4 0 4
56.22	10	1 2 5
65.12	8	2 2 3